1.
Starting from a structure optimized by DFT (PBE), the XRD peak list of PmNpTl2Br8 was calculated for a wavelength of 1.5418 Å.
Intensities are scaled so that the largest is 100.

Crystal structure
```
PmNpTl2Br8
1.0
7.1153 0.0000 0.0000
-0.3099 7.7015 0.0000
-0.0387 -0.0785 8.8936
Pm Np Tl Br
1 1 2 8
Direct
0.0000 0.0000 0.0000
0.0000 0.0000 0.5000
0.4991 0.4989 0.7508
0.5009 0.5011 0.2492
0.2170 0.3164 0.4962
0.2180 0.3161 0.9993
0.2268 0.8708 0.7508
0.2290 0.8740 0.2488
0.7710 0.1260 0.7512
0.7732 0.1292 0.2492
0.7820 0.6839 0.0007
0.7830 0.6836 0.5038
```

Peak list (10 most intense, 10° ≤ 2θ ≤ 90°, low angle first)
2θ 16.63, 5.332 Å, rel. 100.0
2θ 17.31, 5.122 Å, rel. 66.3
2θ 23.07, 3.856 Å, rel. 29.6
2θ 23.55, 3.778 Å, rel. 39.0
2θ 23.65, 3.762 Å, rel. 40.3
2θ 33.98, 2.639 Å, rel. 84.3
2θ 35.04, 2.561 Å, rel. 31.7
2θ 40.42, 2.232 Å, rel. 27.9
2θ 40.57, 2.223 Å, rel. 31.4
2θ 40.74, 2.215 Å, rel. 26.8

---

2.
Starting from a structure optimized by DFT (PBE), the XRD peak list of Rb3Np2Br9 was calculated for a wavelength of 1.5418 Å.
Intensities are scaled so that the largest is 100.

Crystal structure
```
Rb3Np2Br9
1.0
6.9671 4.0225 6.5414
-6.9671 4.0225 6.5414
0.0000 -8.0449 6.5414
Rb Np Br
6 4 18
Direct
0.0752 0.7500 0.4248
0.2500 0.5752 0.9248
0.4248 0.0752 0.7500
0.5752 0.9248 0.2500
0.7500 0.4248 0.0752
0.9248 0.2500 0.5752
0.1491 0.1491 0.1491
0.3509 0.3509 0.3509
0.6491 0.6491 0.6491
0.8509 0.8509 0.8509
0.0663 0.2738 0.9144
0.0856 0.9337 0.7262
0.0928 0.4072 0.2500
0.2262 0.4337 0.5856
0.2500 0.0928 0.4072
0.2738 0.9144 0.0663
0.4072 0.2500 0.0928
0.4144 0.7738 0.5663
0.4337 0.5856 0.2262
0.5663 0.4144 0.7738
0.5856 0.2262 0.4337
0.5928 0.7500 0.9072
0.7262 0.0856 0.9337
0.7500 0.9072 0.5928
0.7738 0.5663 0.4144
0.9072 0.5928 0.7500
0.9144 0.0663 0.2738
0.9337 0.7262 0.0856
```

Peak list (10 most intense, 10° ≤ 2θ ≤ 90°, low angle first)
2θ 12.71, 6.967 Å, rel. 84.8
2θ 19.53, 4.545 Å, rel. 22.4
2θ 22.10, 4.022 Å, rel. 31.5
2θ 29.04, 3.075 Å, rel. 100.0
2θ 30.19, 2.961 Å, rel. 20.6
2θ 32.38, 2.765 Å, rel. 22.0
2θ 34.05, 2.633 Å, rel. 23.6
2θ 37.73, 2.384 Å, rel. 50.3
2θ 45.08, 2.011 Å, rel. 38.6
2θ 49.30, 1.848 Å, rel. 22.1